Ac8LaDy4: calculated X-ray powder pattern (Cu Kα), based on a DFT-relaxed cell (GGA-PBE, Alexandria).
Kinematic intensities with the Lorentz-polarization factor, no thermal factor.

Most intense lines, 10° ≤ 2θ ≤ 80°, in order of rising 2θ:
- (0 0 3), 18.39°, I = 9
- (2 0 2), 21.27°, I = 17
- (2 2 0), 30.25°, I = 100
- (4 0 4), 43.31°, I = 19
- (4 2 2), 48.74°, I = 7
- (6 0 0), 53.74°, I = 39
- (4 4 0), 62.92°, I = 12
- (6 2 4), 71.40°, I = 16

Cell and atoms:
abc: 11.8209 11.8209 14.4623
angles: 90.00 90.00 120.00
Space group R-3m (No. 166, hexagonal axes)
Unique sites:
Ac: 0.0000 0.0000 0.2399 (multiplicity 6)
Ac: 0.0130 0.5065 0.7465 (multiplicity 18)
La: 0.0000 0.0000 0.5000 (multiplicity 3)
Dy: 0.0000 0.0000 0.0000 (multiplicity 3)
Dy: 0.0000 0.5000 0.0000 (multiplicity 9)